Computed X-ray diffraction stick pattern of LiFeBO4 for Cu Kα, 1.54184 Å, from a DFT-relaxed cell (GGA+U, Alexandria).
Intensities are scaled so that the largest is 100.

Atomic structure:
Cell: 10.003 5.897 4.319 Å, 90.00 90.00 90.00°
Positions (direct):
Li1 0.225 0.250 0.019
Li2 0.275 0.750 0.519
Li3 0.725 0.250 0.481
Li4 0.775 0.750 0.981
Fe1 0.000 0.000 0.500
Fe2 0.000 0.500 0.500
Fe3 0.500 0.000 0.000
Fe4 0.500 0.500 0.000
B1 0.082 0.750 0.090
B2 0.418 0.250 0.590
B3 0.582 0.750 0.410
B4 0.918 0.250 0.910
O1 0.059 0.250 0.751
O2 0.077 0.750 0.751
O3 0.141 0.543 0.220
O4 0.141 0.957 0.220
O5 0.359 0.043 0.720
O6 0.359 0.457 0.720
O7 0.423 0.250 0.251
O8 0.441 0.750 0.251
O9 0.559 0.250 0.749
O10 0.577 0.750 0.749
O11 0.641 0.543 0.280
O12 0.641 0.957 0.280
O13 0.859 0.043 0.780
O14 0.859 0.457 0.780
O15 0.923 0.250 0.249
O16 0.941 0.750 0.249

Main lines, in order of falling intensity (2θ = 15–90°):
5.001 Å, 2θ = 17.73°, rel. 100, hkl 2 0 0; 3.966 Å, 2θ = 22.42°, rel. 44, hkl 1 0 1; 2.366 Å, 2θ = 38.03°, rel. 38, hkl 1 2 1; 2.639 Å, 2θ = 33.97°, rel. 30, hkl 3 0 1; 1.645 Å, 2θ = 55.88°, rel. 21, hkl 2 2 2; 1.967 Å, 2θ = 46.16°, rel. 20, hkl 3 2 1; 2.189 Å, 2θ = 41.23°, rel. 17, hkl 2 2 1; 1.635 Å, 2θ = 56.28°, rel. 11, hkl 4 0 2; 1.451 Å, 2θ = 64.18°, rel. 10, hkl 6 2 0; 1.430 Å, 2θ = 65.27°, rel. 9, hkl 4 2 2